Entry 1:
SrLi2H: calculated powder diffractogram (copper Kα), based on a crystal structure in Alexandria, relaxed with PBE.
No peak broadening, texture or thermal motion is included.

Largest 10 diffraction maxima, by intensity, 2θ from 15° to 90°:
Position (°2θ)	Rel. int.
16.87	100
27.77	80
32.52	58
27.60	41
48.91	32
32.81	28
43.39	18
49.22	16
52.00	15
64.51	14

Structure:
```
SrLi2H
1.0
6.464 0.000 0.000
0.000 6.464 0.000
0.000 0.000 9.033
Sr Li H
4 8 4
Cartesian
0.000 1.616 3.387 Sr
0.000 4.848 5.646 Sr
3.232 1.616 1.129 Sr
3.232 4.848 7.904 Sr
0.000 0.000 0.000 Li
0.000 3.232 0.000 Li
1.616 1.616 6.775 Li
1.616 4.848 2.258 Li
3.232 0.000 4.516 Li
3.232 3.232 4.516 Li
4.848 1.616 6.775 Li
4.848 4.848 2.258 Li
0.000 1.616 7.904 H
0.000 4.848 1.129 H
3.232 1.616 5.646 H
3.232 4.848 3.387 H
```

Entry 2:
TbDyY2Tm2: calculated powder diffractogram (copper Kα), based on a crystal structure in Alexandria, relaxed with PBE.
No peak broadening, texture or thermal motion is included.

Largest 10 diffraction maxima, by intensity, 2θ from 15° to 90°:
Position (°2θ)	Rel. int.
32.00	100
31.79	97
56.95	38
45.73	35
63.21	28
56.81	12
22.40	12
81.50	9
52.94	8
66.98	8

Structure:
```
TbDyY2Tm2
1.0
6.918 0.000 0.000
0.000 9.670 0.000
0.000 0.000 5.605
Tb Dy Y Tm
2 2 4 4
Cartesian
0.000 0.000 0.000 Tb
3.459 4.835 2.802 Tb
0.000 4.835 2.802 Dy
3.459 0.000 0.000 Dy
1.731 1.612 2.802 Y
1.728 6.447 0.000 Y
5.190 3.223 0.000 Y
5.188 8.058 2.802 Y
1.728 3.223 0.000 Tm
1.731 8.058 2.802 Tm
5.188 1.612 2.802 Tm
5.190 6.447 0.000 Tm
```

Entry 3:
Na7UO6: calculated powder diffractogram (copper Kα), based on a crystal structure in Alexandria, relaxed with PBE.
No peak broadening, texture or thermal motion is included.

Largest 10 diffraction maxima, by intensity, 2θ from 15° to 90°:
Position (°2θ)	Rel. int.
16.42	100
31.74	91
18.98	57
43.28	52
26.98	37
50.73	26
47.61	26
58.36	23
42.10	20
33.17	15

Structure:
```
Na7UO6
1.0
3.309 1.910 5.388
-3.309 1.910 5.388
0.000 -3.821 5.388
Na U O
7 1 6
Cartesian
0.000 0.000 0.000 Na
-1.275 -2.290 8.772 Na
-1.751 0.111 6.893 Na
0.779 -1.572 6.893 Na
-1.346 2.249 8.772 Na
0.972 1.461 6.893 Na
2.621 0.041 8.772 Na
0.000 0.000 10.519 U
-1.777 -0.008 9.269 O
-1.115 -1.492 11.755 O
0.895 -1.535 9.269 O
-0.735 1.712 11.755 O
0.882 1.543 9.269 O
1.850 -0.219 11.755 O
```

Entry 4:
Ag2Au13: calculated powder diffractogram (copper Kα), based on a crystal structure in Alexandria, relaxed with PBE.
No peak broadening, texture or thermal motion is included.

Largest 10 diffraction maxima, by intensity, 2θ from 15° to 90°:
Position (°2θ)	Rel. int.
37.40	100
38.08	84
37.06	50
38.93	45
40.66	45
40.91	32
39.01	32
39.48	29
31.33	25
43.70	23

Structure:
```
Ag2Au13
1.0
5.450 0.000 0.000
-1.225 7.421 0.000
-1.723 -2.214 7.112
Ag Au
2 13
Cartesian
-0.011 0.542 2.770 Ag
2.512 4.665 4.342 Ag
0.000 0.000 0.000 Au
-1.428 2.177 4.920 Au
-0.094 4.968 0.536 Au
-0.120 -0.436 5.528 Au
-0.281 5.291 3.367 Au
1.218 3.110 2.181 Au
-0.002 4.343 6.039 Au
2.503 0.864 1.073 Au
1.283 2.098 4.932 Au
2.783 -0.084 3.745 Au
2.622 5.643 1.584 Au
2.595 0.239 6.576 Au
3.930 3.030 2.192 Au
```

Entry 5:
Cr2ReRu: calculated powder diffractogram (copper Kα), based on a crystal structure in Alexandria, relaxed with PBE.
No peak broadening, texture or thermal motion is included.

Largest 10 diffraction maxima, by intensity, 2θ from 15° to 90°:
Position (°2θ)	Rel. int.
41.76	100
42.92	78
43.74	51
28.63	38
45.19	34
17.91	32
64.70	31
81.05	14
80.63	12
58.01	12

Structure:
```
Cr2ReRu
1.0
2.658 0.000 0.000
0.000 4.013 0.000
-1.318 0.000 4.952
Cr Re Ru
2 1 1
Cartesian
0.000 0.000 0.000 Cr
0.612 2.007 1.077 Cr
1.681 0.000 2.358 Re
0.297 2.007 3.704 Ru
```

Entry 6:
Tb2CeSc3: calculated powder diffractogram (copper Kα), based on a crystal structure in Alexandria, relaxed with PBE.
No peak broadening, texture or thermal motion is included.

Largest 10 diffraction maxima, by intensity, 2θ from 15° to 90°:
Position (°2θ)	Rel. int.
31.97	100
39.00	54
29.71	46
17.81	41
36.07	39
34.99	36
30.61	27
26.90	24
66.25	23
57.58	21

Structure:
```
Tb2CeSc3
1.0
6.533 0.000 0.000
0.000 15.387 0.000
0.000 0.000 3.342
Tb Ce Sc
4 2 6
Cartesian
1.604 2.549 0.000 Tb
1.663 10.242 1.671 Tb
4.870 5.145 1.671 Tb
4.930 12.838 0.000 Tb
0.000 7.693 0.000 Ce
3.267 0.000 1.671 Ce
0.000 0.000 1.671 Sc
1.614 5.478 1.671 Sc
1.652 13.171 0.000 Sc
3.267 7.693 0.000 Sc
4.881 2.216 0.000 Sc
4.919 9.909 1.671 Sc
```

Entry 7:
Y4SiC: calculated powder diffractogram (copper Kα), based on a crystal structure in Alexandria, relaxed with PBE.
No peak broadening, texture or thermal motion is included.

Largest 10 diffraction maxima, by intensity, 2θ from 15° to 90°:
Position (°2θ)	Rel. int.
33.86	100
30.96	81
28.99	59
34.51	27
26.49	25
27.79	24
50.65	23
33.34	21
56.48	18
39.08	15

Structure:
```
Y4SiC
1.0
4.105 -6.947 0.000
4.105 6.947 0.000
-3.633 0.000 5.197
Y Si C
8 2 2
Cartesian
-0.148 4.140 4.395 Y
-0.640 0.625 3.708 Y
1.176 -0.625 1.109 Y
2.908 4.140 3.401 Y
1.669 -4.140 1.796 Y
3.401 0.625 4.088 Y
5.217 -0.625 1.489 Y
4.724 -4.140 0.803 Y
3.197 1.659 1.299 Si
1.380 -1.659 3.898 Si
1.380 6.020 3.898 C
3.197 -6.020 1.299 C
```

Entry 8:
Cu2TeI2Cl2: calculated powder diffractogram (copper Kα), based on a crystal structure in Alexandria, relaxed with PBE.
No peak broadening, texture or thermal motion is included.

Largest 10 diffraction maxima, by intensity, 2θ from 15° to 90°:
Position (°2θ)	Rel. int.
31.28	100
28.51	93
24.76	79
31.40	50
43.95	45
44.66	33
32.30	30
24.56	28
24.29	24
52.15	22

Structure:
```
Cu2TeI2Cl2
1.0
4.059 0.000 0.000
2.024 7.307 0.000
2.024 2.404 6.977
Cu Te I Cl
2 1 2 2
Cartesian
2.014 2.374 2.981 Cu
6.092 7.337 3.995 Cu
2.024 4.855 3.488 Te
4.054 4.325 5.685 I
4.053 5.385 1.292 I
4.058 8.136 4.888 Cl
4.048 1.575 2.089 Cl
```